Structure and computed X-ray powder pattern of ZnNi2O5 (a DFT-relaxed cell (PBE+U, the Materials Project); Cu Kα (λ = 1.5418 Å)).
No peak broadening, texture or thermal motion is included.

Structure:
```
data_ZnNi2O5
_chemical_formula_sum 'Zn2 Ni4 O10'
_cell_length_a 3.2847
_cell_length_b 4.9055
_cell_length_c 11.1661
_cell_angle_alpha 89.81
_cell_angle_beta 89.86
_cell_angle_gamma 89.96
_space_group_name_H-M_alt 'P 1'
_space_group_IT_number 1
loop_
_space_group_symop_operation_xyz
'x,y,z'
loop_
_atom_site_label
_atom_site_fract_x
_atom_site_fract_y
_atom_site_fract_z
_atom_site_occupancy
Zn1 0.0000 0.0000 0.0000 1
Zn2 0.4984 0.1728 0.4984 1
Ni1 0.4973 0.5318 0.8500 1
Ni2 0.4999 0.5308 0.1490 1
Ni3 0.9981 0.6424 0.6488 1
Ni4 0.9991 0.6430 0.3498 1
O1 0.0016 0.7082 0.1830 1
O2 0.0044 0.9998 0.5987 1
O3 0.4861 0.1745 0.9000 1
O4 0.4984 0.4656 0.3159 1
O5 0.4980 0.6872 0.9994 1
O6 0.4991 0.4661 0.6835 1
O7 0.5148 0.1740 0.0998 1
O8 0.9925 0.0003 0.3989 1
O9 0.9957 0.7084 0.8154 1
O10 0.9986 0.4870 0.4994 1
```

Main lines, sorted by position (2θ = 15–90°):
| hkl | 2θ (°) | I (rel.) |
| --- | --- | --- |
| 0 1 0 | 18.1 | 43 |
| 0 1 2 | 24.2 | 100 |
| 0 1 -3 | 30.1 | 24 |
| 1 -1 0 | 32.8 | 47 |
| 1 1 1 | 33.8 | 89 |
| 1 0 3 | 36.5 | 68 |
| 0 2 0 | 36.6 | 33 |
| 0 1 4 | 37.0 | 22 |
| 0 1 -4 | 37.1 | 21 |
| 1 -2 3 | 52.7 | 25 |
| 2 0 0 | 56.0 | 28 |
| 1 3 0 | 63.6 | 24 |